# Mn2Re2S
Simulated powder XRD pattern, Cu Ka. Input: a structure optimized by DFT (PBE).
No peak broadening, texture or thermal motion is included.

Cell and atoms:
Unit cell a=7.163 b=7.163 c=2.751 alpha=90.00 beta=90.00 gamma=90.00
Fractional positions:
Mn 0.136 0.364 0.000
Mn 0.364 0.864 0.000
Mn 0.636 0.136 0.000
Mn 0.864 0.636 0.000
Re 0.151 0.651 0.500
Re 0.349 0.151 0.500
Re 0.651 0.849 0.500
Re 0.849 0.349 0.500
S 0.000 0.000 0.500
S 0.500 0.500 0.500

Principal peaks in the range 2θ = 10–90°, low angle first:
| 2θ (°) | d_spacing | Rel. int. |
| --- | --- | --- |
| 17.5 | 5.065 | 36 |
| 27.9 | 3.203 | 47 |
| 32.5 | 2.751 | 17 |
| 39.8 | 2.265 | 42 |
| 43.4 | 2.087 | 100 |
| 51.0 | 1.791 | 16 |
| 52.3 | 1.749 | 14 |
| 54.3 | 1.688 | 14 |
| 80.2 | 1.197 | 24 |
| 81.9 | 1.176 | 10 |



# NaInHg2Cl4
Simulated powder XRD pattern, Cu Ka. Input: a structure optimized by DFT (PBE).
No peak broadening, texture or thermal motion is included.

Cell and atoms:
Unit cell a=7.571 b=7.579 c=7.586 alpha=115.13 beta=98.71 gamma=115.00
Fractional positions:
Na 0.000 0.000 0.000
In 0.750 0.501 0.250
Hg 0.252 0.502 0.750
Hg 0.500 0.002 0.501
Cl 0.399 0.400 0.232
Cl 0.768 0.168 0.168
Cl 0.835 0.601 0.001
Cl 0.999 0.834 0.600

Principal peaks in the range 2θ = 10–90°, low angle first:
| 2θ (°) | d_spacing | Rel. int. |
| --- | --- | --- |
| 14.1 | 6.279 | 22 |
| 21.8 | 4.068 | 47 |
| 23.8 | 3.746 | 100 |
| 26.1 | 3.414 | 34 |
| 29.3 | 3.051 | 12 |
| 31.1 | 2.877 | 24 |
| 39.5 | 2.282 | 54 |
| 42.9 | 2.110 | 25 |
| 50.1 | 1.819 | 17 |
| 61.0 | 1.519 | 13 |



# Ce4PrBi5
Simulated powder XRD pattern, Cu Ka. Input: a structure optimized by DFT (PBE).
No peak broadening, texture or thermal motion is included.

Cell and atoms:
Unit cell a=12.201 b=12.201 c=12.201 alpha=158.21 beta=149.00 gamma=38.21
Fractional positions:
Ce 0.100 0.100 0.000
Ce 0.300 0.300 0.000
Ce 0.700 0.700 0.000
Ce 0.900 0.900 0.000
Pr 0.500 0.500 0.000
Bi 0.000 0.500 0.500
Bi 0.200 0.700 0.500
Bi 0.399 0.899 0.500
Bi 0.601 0.101 0.500
Bi 0.800 0.300 0.500

Principal peaks in the range 2θ = 10–90°, low angle first:
| 2θ (°) | d_spacing | Rel. int. |
| --- | --- | --- |
| 23.6 | 3.765 | 7 |
| 27.3 | 3.261 | 100 |
| 39.1 | 2.306 | 79 |
| 46.2 | 1.966 | 4 |
| 48.3 | 1.883 | 29 |
| 56.4 | 1.630 | 14 |
| 62.0 | 1.496 | 2 |
| 63.8 | 1.458 | 38 |
| 70.8 | 1.331 | 28 |
| 83.9 | 1.153 | 9 |